1.
Structure and computed X-ray powder pattern of NdThCuPd (DFT lattice parameters and positions (PBE); Cu Kα X-rays).

Structural model:
```
data_NdThCuPd
_space_group_name_H-M_alt 'P 1'
_space_group_IT_number 1
_space_group_name_Hall 'P 1'
_cell_length_a 4.619
_cell_length_b 5.772
_cell_length_c 5.772
_cell_angle_alpha 38.97
_cell_angle_beta 90.00
_cell_angle_gamma 90.00
loop_
_atom_site_label
_atom_site_type_symbol
_atom_site_fract_x
_atom_site_fract_y
_atom_site_fract_z
_atom_site_occupancy
Nd1 Nd 0.000 0.000 0.000 1
Th1 Th 0.500 0.281 0.281 1
Cu1 Cu 0.000 0.721 0.721 1
Pd1 Pd 0.500 0.572 0.572 1
```

Main lines, in order of rising 2θ (10 to 80 degrees two-theta):
- 25.29°, rel. 31
- 31.34°, rel. 100
- 32.92°, rel. 26
- 33.95°, rel. 41
- 38.40°, rel. 22
- 39.00°, rel. 31
- 39.31°, rel. 54
- 47.21°, rel. 18
- 52.66°, rel. 24
- 54.33°, rel. 20

***

2.
Structure and computed X-ray powder pattern of PrEr2Se (DFT lattice parameters and positions (PBE); Cu Kα X-rays).

Structural model:
```
data_PrEr2Se
_space_group_name_H-M_alt 'P 1'
_space_group_IT_number 1
_space_group_name_Hall 'P 1'
_cell_length_a 9.838
_cell_length_b 9.838
_cell_length_c 9.838
_cell_angle_alpha 22.10
_cell_angle_beta 22.10
_cell_angle_gamma 22.10
loop_
_atom_site_label
_atom_site_type_symbol
_atom_site_fract_x
_atom_site_fract_y
_atom_site_fract_z
_atom_site_occupancy
Pr1 Pr 0.000 0.000 0.000 1
Er1 Er 0.230 0.230 0.230 1
Er2 Er 0.436 0.436 0.436 1
Se1 Se 0.833 0.833 0.833 1
```

Main lines, in order of rising 2θ (10 to 80 degrees two-theta):
- 27.48°, rel. 16
- 27.90°, rel. 23
- 30.04°, rel. 40
- 31.49°, rel. 100
- 35.09°, rel. 19
- 41.83°, rel. 24
- 48.26°, rel. 38
- 56.67°, rel. 22
- 58.77°, rel. 17
- 79.38°, rel. 14

***

3.
Structure and computed X-ray powder pattern of Hf2Ga3Pd8 (DFT lattice parameters and positions (PBE); Cu Kα X-rays).

Structural model:
```
data_Hf2Ga3Pd8
_space_group_name_H-M_alt 'P 1'
_space_group_IT_number 1
_space_group_name_Hall 'P 1'
_cell_length_a 9.963
_cell_length_b 9.963
_cell_length_c 9.963
_cell_angle_alpha 30.64
_cell_angle_beta 30.64
_cell_angle_gamma 30.64
loop_
_atom_site_label
_atom_site_type_symbol
_atom_site_fract_x
_atom_site_fract_y
_atom_site_fract_z
_atom_site_occupancy
Hf1 Hf 0.129 0.129 0.129 1
Hf2 Hf 0.871 0.871 0.871 1
Ga1 Ga 0.308 0.308 0.308 1
Ga2 Ga 0.500 0.500 0.500 1
Ga3 Ga 0.692 0.692 0.692 1
Pd1 Pd 0.217 0.217 0.718 1
Pd2 Pd 0.217 0.718 0.217 1
Pd3 Pd 0.221 0.221 0.221 1
Pd4 Pd 0.282 0.783 0.783 1
Pd5 Pd 0.718 0.217 0.217 1
Pd6 Pd 0.779 0.779 0.779 1
Pd7 Pd 0.783 0.282 0.783 1
Pd8 Pd 0.783 0.783 0.282 1
```

Main lines, in order of rising 2θ (10 to 80 degrees two-theta):
- 34.06°, rel. 35
- 35.39°, rel. 39
- 37.93°, rel. 23
- 40.06°, rel. 100
- 42.73°, rel. 37
- 44.80°, rel. 30
- 45.62°, rel. 25
- 61.07°, rel. 18
- 65.03°, rel. 24
- 71.72°, rel. 25

***

4.
Structure and computed X-ray powder pattern of Zr4In5Tc2 (DFT lattice parameters and positions (PBE); Cu Kα X-rays).

Structural model:
```
data_Zr4In5Tc2
_space_group_name_H-M_alt 'P 1'
_space_group_IT_number 1
_space_group_name_Hall 'P 1'
_cell_length_a 7.684
_cell_length_b 3.354
_cell_length_c 9.397
_cell_angle_alpha 90.00
_cell_angle_beta 94.05
_cell_angle_gamma 90.00
loop_
_atom_site_label
_atom_site_type_symbol
_atom_site_fract_x
_atom_site_fract_y
_atom_site_fract_z
_atom_site_occupancy
Zr1 Zr 0.186 0.000 0.350 1
Zr2 Zr 0.207 0.000 0.936 1
Zr3 Zr 0.793 0.000 0.064 1
Zr4 Zr 0.814 0.000 0.650 1
In1 In 0.156 0.500 0.638 1
In2 In 0.459 0.500 0.167 1
In3 In 0.500 0.500 0.500 1
In4 In 0.541 0.500 0.833 1
In5 In 0.844 0.500 0.362 1
Tc1 Tc 0.080 0.500 0.140 1
Tc2 Tc 0.920 0.500 0.860 1
```

Main lines, in order of rising 2θ (10 to 80 degrees two-theta):
- 31.68°, rel. 43
- 34.45°, rel. 69
- 35.12°, rel. 68
- 35.38°, rel. 100
- 35.57°, rel. 80
- 35.77°, rel. 74
- 38.43°, rel. 55
- 39.41°, rel. 74
- 39.77°, rel. 45
- 41.42°, rel. 42